(1)
Starting from a crystal structure in the Materials Project, relaxed with GGA+U, the powder XRD pattern of Li4Mn3OF11 was calculated for CuKα.
Lines closer than 0.1° are merged.

Structural model:
Lattice parameters (Å, degrees): 5.7802 6.1185 6.1622 98.59 98.49 97.58
Space group P1 (No. 1)
Unique sites:
Li1 0.0000 0.0000 0.0000
Li2 0.1251 0.6339 0.2557
Li3 0.6970 0.9030 0.4147
Li4 0.8288 0.5082 0.7191
Mn1 0.3025 0.2692 0.5439
Mn2 0.4197 0.7714 0.7984
Mn3 0.6035 0.3240 0.0756
O1 0.4825 0.4776 0.7992
F1 0.0591 0.4487 0.5399
F2 0.0816 0.0349 0.3454
F3 0.1670 0.7233 0.9726
F4 0.3003 0.0579 0.7897
F5 0.3319 0.3553 0.1971
F6 0.3949 0.7511 0.4696
F7 0.6062 0.0082 0.1051
F8 0.6101 0.2031 0.5045
F9 0.7689 0.6157 0.2316
F10 0.7715 0.8312 0.7449
F11 0.8778 0.2972 0.9551

Principal peaks in the range 2θ = 10–90°, by angle:
d (Å), 2θ (°), I/Imax
5.986, 14.80, 33
5.645, 15.70, 100
4.516, 19.66, 70
3.574, 24.91, 40
2.934, 30.47, 37
2.889, 30.95, 48

---

(2)
Starting from a crystal structure in the Materials Project, relaxed with GGA+U, the powder XRD pattern of Li3TiMn4O8 was calculated for CuKα.
Lines closer than 0.1° are merged.

Structural model:
Lattice parameters (Å, degrees): 6.1072 6.1870 10.5391 74.25 73.30 60.51
Space group P-1 (No. 2)
Unique sites:
Li1 0.2247 0.2698 0.2511
Li2 0.2512 0.7581 0.7392
Li3 0.2580 0.2424 0.7509
Ti1 0.0000 0.0000 0.0000
Ti2 0.5000 0.5000 0.5000
Mn1 0.0000 0.0000 0.5000
Mn2 0.0000 0.5000 0.0000
Mn3 0.0000 0.5000 0.5000
Mn4 0.2417 0.7591 0.2513
Mn5 0.5000 0.0000 0.0000
Mn6 0.5000 0.0000 0.5000
Mn7 0.5000 0.5000 0.0000
O1 0.0932 0.1233 0.1241
O2 0.1087 0.6596 0.1177
O3 0.1456 0.1195 0.6173
O4 0.1576 0.6152 0.6153
O5 0.3604 0.8907 0.8934
O6 0.3840 0.3946 0.3766
O7 0.3922 0.8553 0.3870
O8 0.3938 0.3322 0.8864

Principal peaks in the range 2θ = 10–90°, by angle:
d (Å), 2θ (°), I/Imax
4.986, 17.79, 100
2.513, 35.73, 49
2.208, 40.87, 72
2.157, 41.88, 67
2.151, 42.00, 66
1.547, 59.77, 38

---

(3)
Starting from a crystal structure in the Materials Project, relaxed with GGA+U, the powder XRD pattern of Sr4TlFe2O9 was calculated for CuKα.
Lines closer than 0.1° are merged.

Structural model:
Lattice parameters (Å, degrees): 5.4224 30.5913 5.4708 90.00 90.00 90.00
Space group Fmm2 (No. 42)
Unique sites:
Sr1 0.0000 0.0822 0.0000
Sr2 0.0000 0.2053 0.9997
Tl1 0.0000 0.0000 0.5266
Fe1 0.0000 0.1486 0.4996
O1 0.0000 0.0000 0.9553
O2 0.0000 0.0687 0.4936
O3 0.0000 0.2130 0.4996
O4 0.2503 0.1430 0.2499

Principal peaks in the range 2θ = 10–90°, by angle:
d (Å), 2θ (°), I/Imax
3.603, 24.71, 20
2.889, 30.95, 100
2.735, 32.74, 33
2.711, 33.04, 33
1.926, 47.20, 32
1.597, 57.71, 18

---

(4)
Starting from a crystal structure in the Materials Project, relaxed with GGA+U, the powder XRD pattern of SrLaTaNiO6 was calculated for CuKα.
Lines closer than 0.1° are merged.

Structural model:
Lattice parameters (Å, degrees): 8.0069 8.0069 8.0069 90.00 90.00 90.00
Space group F-43m (No. 216)
Unique sites:
Sr1 0.0000 0.0000 0.0000
La1 0.0000 0.0000 0.5000
Ta1 0.2500 0.2500 0.2500
Ni1 0.2500 0.2500 0.7500
O1 0.0030 0.2500 0.2500

Principal peaks in the range 2θ = 10–90°, by angle:
d (Å), 2θ (°), I/Imax
4.623, 19.20, 18
2.831, 31.61, 100
2.002, 45.30, 31
1.634, 56.29, 40
1.415, 66.00, 19
1.266, 75.03, 17

---

(5)
Starting from a crystal structure in the Materials Project, relaxed with GGA+U, the powder XRD pattern of NaMnO2 was calculated for CuKα.
Lines closer than 0.1° are merged.

Structural model:
Lattice parameters (Å, degrees): 11.4997 2.9004 5.6974 90.00 90.00 90.00
Space group Pnma (No. 62)
Unique sites:
Na1 0.1249 0.2500 0.0306
Mn1 0.1199 0.2500 0.5250
O1 0.0524 0.7500 0.7142
O2 0.1908 0.7500 0.3458

Principal peaks in the range 2θ = 10–90°, by angle:
d (Å), 2θ (°), I/Imax
5.105, 17.37, 95
2.875, 31.11, 62
2.590, 34.64, 58
2.024, 44.79, 49
1.916, 47.45, 100
1.599, 57.65, 37

---

(6)
Starting from a crystal structure in the Materials Project, relaxed with GGA+U, the powder XRD pattern of Li9Mn2Co5O16 was calculated for CuKα.
Lines closer than 0.1° are merged.

Structural model:
Lattice parameters (Å, degrees): 5.9100 6.4474 7.8918 88.63 76.25 75.04
Space group P1 (No. 1)
Unique sites:
Li1 0.0000 0.0000 0.0000
Li2 0.0046 0.4984 0.5009
Li3 0.1258 0.8697 0.6208
Li4 0.2504 0.7383 0.2636
Li5 0.3777 0.6224 0.8758
Li6 0.4978 0.5010 0.4970
Li7 0.6281 0.3728 0.1309
Li8 0.7620 0.2485 0.7470
Li9 0.8798 0.1241 0.3817
Mn1 0.3730 0.1259 0.3791
Mn2 0.8760 0.6219 0.8740
Co1 0.1309 0.3762 0.1330
Co2 0.2445 0.2475 0.7458
Co3 0.5044 0.9974 0.0032
Co4 0.6307 0.8690 0.6244
Co5 0.7582 0.7473 0.2571
O1 0.0436 0.6731 0.0603
O2 0.0822 0.1803 0.5542
O3 0.1835 0.5472 0.7075
O4 0.2129 0.0729 0.1965
O5 0.3213 0.4166 0.3162
O6 0.3316 0.9503 0.8036
O7 0.4257 0.2933 0.9540
O8 0.4498 0.8171 0.4288
O9 0.5386 0.1741 0.5581
O10 0.5725 0.7000 0.0521
O11 0.6819 0.0451 0.2018
O12 0.7044 0.5787 0.7047
O13 0.8091 0.9251 0.8265
O14 0.8288 0.4488 0.2951
O15 0.9166 0.8125 0.4501
O16 0.9481 0.3207 0.9281

Principal peaks in the range 2θ = 10–90°, by angle:
d (Å), 2θ (°), I/Imax
4.806, 18.46, 100
2.440, 36.83, 24
2.149, 42.04, 31
2.026, 44.72, 26
2.023, 44.80, 25
1.475, 63.03, 22

---

(7)
Starting from a crystal structure in the Materials Project, relaxed with GGA+U, the powder XRD pattern of SmTlMo2O8 was calculated for CuKα.
Lines closer than 0.1° are merged.

Structural model:
Lattice parameters (Å, degrees): 5.2032 19.4199 8.2626 90.00 90.00 90.00
Space group Pbcn (No. 60)
Unique sites:
Sm1 0.0000 0.0042 0.2500
Tl1 0.0000 0.2265 0.7500
Mo1 0.0208 0.4006 0.0103
O1 0.0995 0.3159 0.4843
O2 0.2272 0.4055 0.8368
O3 0.2377 0.4096 0.1813
O4 0.2497 0.0368 0.0021

Principal peaks in the range 2θ = 10–90°, by angle:
d (Å), 2θ (°), I/Imax
4.294, 20.69, 59
3.641, 24.45, 47
3.191, 27.96, 100
3.146, 28.37, 74
3.112, 28.68, 84
2.005, 45.23, 58

---

(8)
Starting from a crystal structure in the Materials Project, relaxed with GGA+U, the powder XRD pattern of Li3FeO3 was calculated for CuKα.
Lines closer than 0.1° are merged.

Structural model:
Lattice parameters (Å, degrees): 8.9019 8.9019 3.6298 90.00 90.00 90.00
Space group P4_2/mnm (No. 136)
Unique sites:
Li1 0.1008 0.3592 0.0000
Li2 0.1681 0.1681 0.5000
Fe1 0.1152 0.8848 0.0000
O1 0.1016 0.1016 0.0000
O2 0.1118 0.6781 0.0000

Principal peaks in the range 2θ = 10–90°, by angle:
d (Å), 2θ (°), I/Imax
6.295, 14.07, 47
3.981, 22.33, 37
3.361, 26.52, 100
3.144, 28.38, 33
2.225, 40.54, 53
1.598, 57.67, 27